(1)
For KAc2Sn3Te6, the PBE geometry in Alexandria gives the calculated XRD peak list in this record (Cu Kα, 1.54184 Å).

Principal peaks in the range 15° ≤ 2θ ≤ 90°, by intensity:
d 3.358, intensity 100; d 3.305, intensity 48; d 2.363, intensity 39; d 2.348, intensity 36; d 2.459, intensity 24; d 1.973, intensity 23; d 2.298, intensity 16; d 1.679, intensity 13; d 1.544, intensity 11; d 1.894, intensity 9

Structural model:
```
KAc2Sn3Te6
1.0
10.157 -2.459 0.000
10.157 2.459 0.000
-2.000 0.000 8.970
K Ac Sn Te
1 2 3 6
Direct
0.000 0.000 0.000
0.334 0.334 0.678
0.666 0.666 0.322
0.000 0.000 0.500
0.338 0.338 0.146
0.662 0.662 0.854
0.165 0.165 0.572
0.177 0.177 0.074
0.499 0.499 0.731
0.501 0.501 0.269
0.823 0.823 0.926
0.835 0.835 0.428
```


(2)
For K2TlCd3F8, the PBE geometry in Alexandria gives the calculated XRD peak list in this record (Cu Kα, 1.54184 Å).

Principal peaks in the range 15° ≤ 2θ ≤ 90°, by intensity:
d 3.134, intensity 100; d 3.073, intensity 89; d 3.802, intensity 73; d 3.269, intensity 52; d 1.901, intensity 50; d 1.797, intensity 47; d 2.058, intensity 45; d 5.224, intensity 45; d 2.007, intensity 34; d 2.961, intensity 29

Structural model:
```
K2TlCd3F8
1.0
3.595 2.075 6.401
-3.595 2.075 6.401
0.000 -4.151 6.401
K Tl Cd F
2 1 3 8
Direct
0.000 0.000 0.000
0.376 0.376 0.376
0.626 0.626 0.626
0.002 0.002 0.496
0.002 0.496 0.002
0.496 0.002 0.002
0.194 0.751 0.751
0.234 0.234 0.234
0.247 0.247 0.806
0.247 0.806 0.247
0.751 0.194 0.751
0.751 0.751 0.194
0.775 0.775 0.775
0.806 0.247 0.247
```


(3)
For Ba4Zn3Ga, the PBE geometry in Alexandria gives the calculated XRD peak list in this record (Cu Kα, 1.54184 Å).

Principal peaks in the range 15° ≤ 2θ ≤ 90°, by intensity:
d 3.355, intensity 100; d 3.099, intensity 75; d 2.668, intensity 35; d 1.862, intensity 34; d 2.580, intensity 29; d 3.610, intensity 28; d 2.434, intensity 26; d 2.330, intensity 24; d 1.798, intensity 20; d 1.755, intensity 20

Structural model:
```
Ba4Zn3Ga
1.0
4.659 0.000 0.000
0.000 5.336 0.000
0.000 0.000 11.418
Ba Zn Ga
4 3 1
Direct
0.000 0.000 0.000
0.000 0.500 0.497
0.500 0.000 0.295
0.500 0.500 0.798
0.000 0.000 0.693
0.000 0.500 0.192
0.500 0.000 0.601
0.500 0.500 0.102
```


(4)
For Hg3W5, the PBE geometry in Alexandria gives the calculated XRD peak list in this record (Cu Kα, 1.54184 Å).

Principal peaks in the range 15° ≤ 2θ ≤ 90°, by intensity:
d 2.365, intensity 100; d 2.211, intensity 20; d 2.152, intensity 19; d 1.279, intensity 15; d 1.304, intensity 15; d 1.542, intensity 13; d 1.842, intensity 12; d 1.182, intensity 11; d 1.141, intensity 11; d 1.415, intensity 10

Structural model:
```
Hg3W5
1.0
4.303 -4.423 0.000
4.303 4.423 0.000
0.000 0.000 3.683
Hg W
3 5
Direct
0.000 0.000 0.000
0.252 0.252 0.500
0.748 0.748 0.500
0.000 0.500 0.000
0.265 0.735 0.500
0.500 0.000 0.000
0.500 0.500 0.000
0.735 0.265 0.500
```


(5)
For Y3B3O7, the PBE geometry in Alexandria gives the calculated XRD peak list in this record (Cu Kα, 1.54184 Å).

Principal peaks in the range 15° ≤ 2θ ≤ 90°, by intensity:
d 2.611, intensity 100; d 4.198, intensity 96; d 3.335, intensity 88; d 1.807, intensity 67; d 2.707, intensity 61; d 2.003, intensity 55; d 1.776, intensity 51; d 3.542, intensity 46; d 1.890, intensity 26; d 1.550, intensity 22

Structural model:
```
Y3B3O7
1.0
25.188 0.000 0.000
0.000 1.890 3.542
0.000 -1.890 3.542
Y B O
6 6 14
Direct
0.082 0.000 0.000
0.246 0.005 0.005
0.418 0.005 0.005
0.582 0.005 0.005
0.754 0.005 0.005
0.918 0.000 0.000
0.000 0.238 0.238
0.164 0.762 0.762
0.332 0.372 0.372
0.500 0.764 0.764
0.668 0.372 0.372
0.836 0.762 0.762
0.048 0.335 0.335
0.116 0.663 0.663
0.212 0.666 0.666
0.280 0.334 0.334
0.332 0.987 0.987
0.384 0.334 0.334
0.452 0.665 0.665
0.548 0.665 0.665
0.616 0.334 0.334
0.668 0.987 0.987
0.720 0.334 0.334
0.788 0.666 0.666
0.884 0.663 0.663
0.952 0.335 0.335
```


(6)
For NaH3C2O5, the PBE geometry in Alexandria gives the calculated XRD peak list in this record (Cu Kα, 1.54184 Å).

Principal peaks in the range 15° ≤ 2θ ≤ 90°, by intensity:
d 3.078, intensity 100; d 2.499, intensity 23; d 2.707, intensity 20; d 4.901, intensity 13; d 1.775, intensity 12; d 5.414, intensity 12; d 2.446, intensity 12; d 2.127, intensity 11; d 3.188, intensity 11; d 2.158, intensity 11

Structural model:
```
NaH3C2O5
1.0
5.721 0.000 0.000
0.522 6.664 0.000
2.159 1.459 6.158
Na H C O
2 6 4 10
Direct
0.244 0.028 0.256
0.756 0.972 0.744
0.014 0.606 0.245
0.230 0.768 0.690
0.252 0.996 0.716
0.748 0.004 0.284
0.770 0.232 0.310
0.986 0.394 0.755
0.363 0.543 0.238
0.393 0.354 0.779
0.607 0.646 0.221
0.637 0.457 0.762
0.179 0.675 0.237
0.182 0.913 0.646
0.226 0.479 0.738
0.354 0.358 0.247
0.379 0.160 0.834
0.621 0.840 0.166
0.646 0.642 0.753
0.774 0.521 0.262
0.818 0.087 0.354
0.821 0.325 0.763
```


(7)
For In3SnHg5, the PBE geometry in Alexandria gives the calculated XRD peak list in this record (Cu Kα, 1.54184 Å).

Principal peaks in the range 15° ≤ 2θ ≤ 90°, by intensity:
d 2.888, intensity 100; d 2.821, intensity 94; d 2.944, intensity 81; d 2.337, intensity 55; d 2.470, intensity 52; d 2.389, intensity 52; d 2.299, intensity 45; d 1.802, intensity 25; d 1.443, intensity 24; d 1.410, intensity 23

Structural model:
```
In3SnHg5
1.0
6.521 0.000 0.000
0.449 8.752 0.000
2.886 3.555 8.664
In Sn Hg
6 2 10
Direct
0.089 0.387 0.163
0.240 0.271 0.838
0.265 0.175 0.485
0.735 0.825 0.515
0.760 0.729 0.162
0.911 0.613 0.837
0.000 0.500 0.500
0.500 0.500 0.500
0.068 0.951 0.828
0.243 0.819 0.505
0.258 0.720 0.164
0.411 0.608 0.839
0.433 0.054 0.161
0.567 0.946 0.839
0.589 0.392 0.161
0.742 0.280 0.836
0.757 0.181 0.495
0.932 0.049 0.172
```